Diffraction record for Pr7Sm16Ho6. The PXRD pattern is computed, not measured: it uses DFT lattice parameters and positions (PBE) and Cu Kα.

```
data_Pr7Sm16Ho6
_space_group_name_H-M_alt 'P 1'
_space_group_IT_number 1
_cell_length_a 11.350
_cell_length_b 11.350
_cell_length_c 11.350
_cell_angle_alpha 60.00
_cell_angle_beta 60.00
_cell_angle_gamma 60.00
loop_
_space_group_symop_operation_xyz
'x,y,z'
loop_
_atom_site_label
_atom_site_fract_x
_atom_site_fract_y
_atom_site_fract_z
Pr1 0.000 0.000 0.000
Pr2 0.000 0.000 0.500
Pr3 0.000 0.500 0.000
Pr4 0.000 0.500 0.500
Pr5 0.500 0.000 0.000
Pr6 0.500 0.000 0.500
Pr7 0.500 0.500 0.000
Sm1 0.047 0.651 0.651
Sm2 0.126 0.126 0.126
Sm3 0.126 0.126 0.621
Sm4 0.126 0.621 0.126
Sm5 0.349 0.349 0.349
Sm6 0.349 0.349 0.953
Sm7 0.349 0.953 0.349
Sm8 0.379 0.874 0.874
Sm9 0.621 0.126 0.126
Sm10 0.651 0.047 0.651
Sm11 0.651 0.651 0.047
Sm12 0.651 0.651 0.651
Sm13 0.874 0.379 0.874
Sm14 0.874 0.874 0.379
Sm15 0.874 0.874 0.874
Sm16 0.953 0.349 0.349
Ho1 0.263 0.263 0.737
Ho2 0.263 0.737 0.263
Ho3 0.263 0.737 0.737
Ho4 0.737 0.263 0.263
Ho5 0.737 0.263 0.737
Ho6 0.737 0.737 0.263
```

Largest 10 diffraction maxima, most intense first, 15° ≤ 2θ ≤ 90°:
Position (°2θ)	d [Å]	intensity
31.5	2.838	100
56.1	1.638	27
45.2	2.006	14
28.9	3.089	9
65.8	1.419	8
74.8	1.269	8
27.2	3.277	6
24.8	3.589	6
33.0	2.713	6
35.4	2.538	5